For K2PaSiN4, a GGA-PBE-relaxed structure gives the calculated PXRD pattern in this record (CuKα).
Lines closer than 0.1° are merged.

Cell: 6.197 6.841 6.921 Å, 90.00 90.00 90.00°
Space group Pmmn (No. 59, origin choice 2)
Symmetry-distinct sites (fractional):
K: 0.250 0.005 0.210
Pa: 0.250 0.250 0.666
Si: 0.250 0.750 0.669
N: 0.019 0.750 0.520
N: 0.250 0.533 0.805

Principal peaks in the range 2θ = 10–90°, low angle first:
(hkl), two_theta, I/Imax
0 0 1, 12.79, 48.6
0 1 1, 18.23, 63.6
1 0 1, 19.22, 67.3
1 1 0, 19.33, 81.6
1 1 1, 23.24, 28.2
2 0 0, 28.81, 51.9
0 2 1, 29.12, 30.5
1 0 2, 29.57, 50.3
1 2 1, 32.58, 100.0
2 1 1, 34.31, 31.4
1 2 2, 39.81, 30.1
2 2 3, 56.55, 32.6


For Th6AsSe5, a GGA-PBE-relaxed structure gives the calculated PXRD pattern in this record (CuKα).
Lines closer than 0.1° are merged.

Cell: 7.308 12.642 7.289 Å, 90.00 109.48 90.00°
Space group C2/m (No. 12)
Symmetry-distinct sites (fractional):
Th: 0.249 0.000 0.252
Th: 0.249 0.166 0.749
As: 0.000 0.000 0.500
Se: 0.000 0.166 0.000
Se: 0.000 0.333 0.500
Se: 0.000 0.500 0.000

Principal peaks in the range 2θ = 10–90°, low angle first:
(hkl), two_theta, I/Imax
2 0 0, 25.88, 31.8
0 0 2, 25.93, 10.5
1 3 1, 29.99, 100.0
2 0 2, 42.93, 76.2
3 3 1, 50.81, 20.2
4 0 0, 53.22, 20.5
0 0 4, 53.32, 6.8
2 6 2, 62.32, 12.8
4 6 0, 70.66, 23.7
0 6 4, 70.76, 11.8
5 3 1, 78.58, 11.1
1 3 5, 78.69, 13.3


For Ca2ScSi4Pt3, a GGA-PBE-relaxed structure gives the calculated PXRD pattern in this record (CuKα).
Lines closer than 0.1° are merged.

Cell: 4.166 4.166 10.728 Å, 90.00 90.00 90.00°
Space group P-4m2 (No. 115)
Symmetry-distinct sites (fractional):
Ca: 0.000 0.500 0.243
Sc: 0.000 0.000 0.500
Si: 0.000 0.000 0.000
Si: 0.000 0.500 0.653
Si: 0.500 0.500 0.000
Pt: 0.000 0.500 0.881
Pt: 0.500 0.500 0.500

Principal peaks in the range 2θ = 10–90°, low angle first:
(hkl), two_theta, I/Imax
0 0 2, 16.53, 31.2
1 0 1, 22.90, 83.5
0 0 3, 24.90, 32.6
1 0 2, 27.10, 96.9
1 1 1, 31.49, 100.0
1 0 3, 33.01, 86.8
1 1 2, 34.74, 56.2
2 0 0, 43.44, 74.5
1 1 4, 45.75, 77.6
2 1 2, 51.96, 34.4
2 1 3, 55.62, 39.1
3 1 4, 81.36, 36.3


For Pm2Pr2Cu3, a GGA-PBE-relaxed structure gives the calculated PXRD pattern in this record (CuKα).
Lines closer than 0.1° are merged.

Cell: 8.957 8.957 8.957 Å, 90.00 90.00 90.00°
Space group I2_13 (No. 199)
Symmetry-distinct sites (fractional):
Pm: 0.066 0.434 0.566
Pr: 0.182 0.182 0.182
Cu: 0.000 0.250 0.867

Principal peaks in the range 2θ = 10–90°, low angle first:
(hkl), two_theta, I/Imax
2 1 1, 24.34, 13.4
2 2 0, 28.18, 16.0
3 0 1, 31.59, 100.0
3 1 2, 37.57, 61.9
3 3 2, 47.62, 8.1
4 2 2, 49.88, 19.3
4 3 1, 52.06, 34.5
6 1 1, 64.09, 20.8
6 0 2, 65.96, 11.6
5 4 1, 67.81, 14.4
7 2 1, 78.47, 13.5
6 1 5, 85.33, 7.2


For PmDy6Er3, a GGA-PBE-relaxed structure gives the calculated PXRD pattern in this record (CuKα).
Lines closer than 0.1° are merged.

Cell: 10.978 18.892 6.169 Å, 90.00 90.00 90.00°
Space group Cmc2_1 (No. 36)
Symmetry-distinct sites (fractional):
Pm: 0.000 0.206 0.000
Dy: 0.000 0.046 0.235
Dy: 0.000 0.283 0.506
Dy: 0.165 0.454 0.616
Dy: 0.249 0.290 0.785
Er: 0.000 0.389 0.077
Er: 0.172 0.109 0.692

Principal peaks in the range 2θ = 10–90°, low angle first:
(hkl), two_theta, I/Imax
3 3 0, 28.20, 25.2
2 4 1, 28.80, 83.2
0 0 2, 28.93, 24.1
0 2 2, 30.48, 37.4
3 3 1, 31.78, 80.0
0 6 1, 31.91, 100.0
2 0 2, 33.32, 26.1
4 2 0, 34.06, 34.2
2 2 2, 34.69, 51.6
2 6 1, 35.96, 21.7
0 12 0, 58.65, 18.9
0 8 3, 59.58, 19.5


For Zn6SiO6, a GGA-PBE-relaxed structure gives the calculated PXRD pattern in this record (CuKα).
Lines closer than 0.1° are merged.

Cell: 5.718 5.718 5.718 Å, 90.00 90.00 90.00°
Space group Pm-3 (No. 200)
Symmetry-distinct sites (fractional):
Zn: 0.000 0.248 0.500
Si: 0.000 0.000 0.000
O: 0.000 0.500 0.253

Principal peaks in the range 2θ = 10–90°, low angle first:
(hkl), two_theta, I/Imax
1 1 0, 21.98, 75.3
2 0 0, 31.29, 29.6
2 1 0, 35.09, 100.0
2 1 1, 38.57, 65.0
2 2 0, 44.83, 10.7
3 0 1, 50.47, 14.6
2 2 2, 55.69, 40.2
3 0 2, 58.17, 24.0
3 1 2, 60.59, 30.9
4 0 0, 65.27, 22.1
4 2 0, 74.16, 8.0
4 2 1, 76.32, 21.5


For Gd2SnAu2, a GGA-PBE-relaxed structure gives the calculated PXRD pattern in this record (CuKα).
Lines closer than 0.1° are merged.

Cell: 8.015 8.015 3.807 Å, 90.00 90.00 90.00°
Space group P4/mbm (No. 127)
Symmetry-distinct sites (fractional):
Gd: 0.171 0.329 0.000
Sn: 0.000 0.000 0.500
Au: 0.127 0.627 0.500

Principal peaks in the range 2θ = 10–90°, low angle first:
(hkl), two_theta, I/Imax
1 1 0, 15.64, 12.6
2 0 1, 32.44, 18.0
2 1 1, 34.36, 100.0
3 1 0, 35.42, 39.1
3 2 0, 40.59, 10.6
3 2 1, 47.36, 9.8
0 0 2, 47.78, 13.2
4 1 1, 52.89, 7.7
3 1 2, 60.86, 16.6
5 1 1, 64.10, 10.3
5 2 1, 67.58, 13.5
2 1 3, 80.24, 9.0


For Tb4Y3Sb4, a GGA-PBE-relaxed structure gives the calculated PXRD pattern in this record (CuKα).
Lines closer than 0.1° are merged.

Cell: 4.042 9.125 17.421 Å, 90.00 90.00 90.00°
Space group Immm (No. 71)
Symmetry-distinct sites (fractional):
Tb: 0.000 0.181 0.169
Y: 0.000 0.000 0.401
Y: 0.000 0.500 0.500
Sb: 0.000 0.291 0.000
Sb: 0.000 0.500 0.233

Principal peaks in the range 2θ = 10–90°, low angle first:
(hkl), two_theta, I/Imax
1 0 1, 22.58, 29.1
1 0 3, 26.87, 42.4
1 2 1, 29.98, 100.0
1 1 4, 31.75, 90.2
0 3 3, 33.25, 96.9
1 0 5, 33.97, 59.8
0 2 6, 36.69, 56.8
1 3 2, 38.45, 62.7
2 0 0, 44.84, 45.5
2 3 3, 56.95, 42.1
2 2 6, 59.27, 29.1
1 5 4, 59.49, 31.2


For PmSmDy2Tm4, a GGA-PBE-relaxed structure gives the calculated PXRD pattern in this record (CuKα).
Lines closer than 0.1° are merged.

Cell: 6.767 11.706 13.222 Å, 90.00 90.00 90.00°
Space group Imma (No. 74)
Symmetry-distinct sites (fractional):
Pm: 0.000 0.000 0.000
Sm: 0.250 0.250 0.250
Dy: 0.000 0.000 0.500
Dy: 0.250 0.250 0.750
Tm: 0.000 0.002 0.749
Tm: 0.249 0.250 0.502

Principal peaks in the range 2θ = 10–90°, low angle first:
(hkl), two_theta, I/Imax
0 0 4, 26.97, 45.7
2 2 0, 30.53, 100.0
2 2 4, 41.18, 89.1
4 0 0, 54.26, 20.0
0 0 8, 55.61, 6.2
4 0 4, 61.62, 27.3
4 4 0, 63.52, 8.3
2 2 8, 64.77, 23.4
4 4 4, 70.32, 18.4
2 6 8, 81.45, 8.3
6 2 0, 88.27, 7.0
4 4 8, 89.41, 10.2


For BeGaPd5, a GGA-PBE-relaxed structure gives the calculated PXRD pattern in this record (CuKα).
Lines closer than 0.1° are merged.

Cell: 10.333 6.654 7.112 Å, 90.00 120.37 90.00°
Space group C2/c (No. 15)
Symmetry-distinct sites (fractional):
Be: 0.000 0.096 0.250
Ga: 0.250 0.250 0.000
Pd: 0.000 0.444 0.250
Pd: 0.011 0.194 0.568
Pd: 0.241 0.091 0.340

Principal peaks in the range 2θ = 10–90°, low angle first:
(hkl), two_theta, I/Imax
2 2 -1, 32.31, 60.5
3 1 -2, 32.42, 100.0
1 1 2, 38.00, 53.5
0 2 2, 39.97, 47.6
4 0 0, 40.48, 90.3
2 2 1, 40.78, 48.0
1 3 0, 41.98, 26.4
1 1 -3, 42.26, 81.2
1 3 -1, 42.79, 46.9
4 2 -2, 45.35, 35.6
5 1 -3, 49.85, 39.1
3 3 1, 58.26, 20.1


For Pm5Sc4Au4, a GGA-PBE-relaxed structure gives the calculated PXRD pattern in this record (CuKα).
Lines closer than 0.1° are merged.

Cell: 11.763 11.763 4.861 Å, 90.00 90.00 90.00°
Space group I4/m (No. 87)
Symmetry-distinct sites (fractional):
Pm: 0.000 0.000 0.000
Pm: 0.128 0.193 0.500
Sc: 0.089 0.600 0.500
Au: 0.076 0.745 0.000

Principal peaks in the range 2θ = 10–90°, low angle first:
(hkl), two_theta, I/Imax
1 3 0, 23.92, 18.2
1 2 1, 24.94, 54.7
3 0 1, 29.26, 62.0
2 3 1, 33.07, 100.0
2 4 0, 34.09, 51.1
4 1 1, 36.52, 81.5
0 0 2, 36.99, 50.2
3 5 0, 44.93, 24.3
2 4 2, 51.17, 32.8
3 5 2, 59.55, 21.3
2 7 1, 60.37, 20.2
4 7 1, 66.96, 19.5


For SrY2Br, a GGA-PBE-relaxed structure gives the calculated PXRD pattern in this record (CuKα).
Lines closer than 0.1° are merged.

Cell: 4.954 5.440 9.930 Å, 90.00 90.00 90.00°
Space group Cmm2 (No. 35)
Symmetry-distinct sites (fractional):
Sr: 0.000 0.000 0.000
Y: 0.000 0.000 0.536
Y: 0.000 0.500 0.298
Br: 0.000 0.500 0.765

Principal peaks in the range 2θ = 10–90°, low angle first:
(hkl), two_theta, I/Imax
1 1 2, 30.32, 100.0
0 2 0, 32.93, 21.1
2 0 0, 36.23, 29.2
1 1 3, 36.59, 3.6
2 2 0, 49.76, 23.1
2 0 4, 52.17, 8.9
1 3 2, 57.19, 15.9
1 1 6, 61.48, 8.0
3 1 2, 61.59, 12.6
2 2 4, 63.08, 9.9
2 4 0, 80.55, 5.5
3 3 2, 81.08, 9.3